No. 1
Simulated powder XRD pattern of Pm2HoSn6 for Cu Kα (λ = 1.5418 Å), from the GGA-PBE geometry in Alexandria.
Peak positions follow from Bragg's law for the DFT cell and can differ from measured ones.

Principal peaks in the range 2θ from 5° to 70°, in order of rising 2θ:
- 33.0°, d 2.715, I = 95.2
- 33.2°, d 2.699, I = 100.0
- 33.4°, d 2.680, I = 28.5
- 40.2°, d 2.243, I = 36.3
- 41.2°, d 2.192, I = 25.1
- 42.4°, d 2.131, I = 29.6

Atomic structure:
```
data_Pm2HoSn6
_cell_length_a 17.625
_cell_length_b 6.892
_cell_length_c 4.487
_cell_angle_alpha 90.00
_cell_angle_beta 104.70
_cell_angle_gamma 90.00
_space_group_name_H-M_alt 'C 1 m 1'
_space_group_IT_number 8
loop_
_space_group_symop_operation_xyz
'x,y,z'
'x,-y,z'
'x+1/2,y+1/2,z'
'x+1/2,-y+1/2,z'
loop_
_atom_site_label
_atom_site_fract_x
_atom_site_fract_y
_atom_site_fract_z
Pm1 0.000 0.000 0.000
Pm2 0.230 0.000 0.229
Ho1 0.055 0.500 0.056
Sn1 0.121 0.226 0.621
Sn2 0.307 0.288 0.806
Sn3 0.424 0.212 0.423
```

***

No. 2
Simulated powder XRD pattern of AcLa4Er4 for Cu Kα (λ = 1.5418 Å), from the GGA-PBE geometry in Alexandria.
Peak positions follow from Bragg's law for the DFT cell and can differ from measured ones.

Principal peaks in the range 2θ from 5° to 70°, in order of rising 2θ:
- 29.8°, d 3.000, I = 100.0
- 29.9°, d 2.990, I = 99.2
- 34.6°, d 2.594, I = 67.4
- 34.6°, d 2.592, I = 33.6
- 49.8°, d 1.833, I = 36.1
- 59.0°, d 1.565, I = 43.3

Atomic structure:
```
data_AcLa4Er4
_cell_length_a 6.346
_cell_length_b 9.709
_cell_length_c 10.993
_cell_angle_alpha 100.61
_cell_angle_beta 106.67
_cell_angle_gamma 96.39
_space_group_name_H-M_alt 'P -1'
_space_group_IT_number 2
loop_
_space_group_symop_operation_xyz
'x,y,z'
'-x,-y,-z'
loop_
_atom_site_label
_atom_site_fract_x
_atom_site_fract_y
_atom_site_fract_z
Ac1 0.249 0.082 0.302
La1 0.248 0.744 0.081
La2 0.250 0.742 0.753
La3 0.251 0.416 0.530
La4 0.253 0.087 0.643
Er1 0.239 0.742 0.413
Er2 0.250 0.422 0.191
Er3 0.251 0.415 0.865
Er4 0.256 0.085 0.973
```

***

No. 3
Simulated powder XRD pattern of Ce2U2O9 for Cu Kα (λ = 1.5418 Å), from the GGA-PBE geometry in Alexandria.
Peak positions follow from Bragg's law for the DFT cell and can differ from measured ones.

Principal peaks in the range 2θ from 5° to 70°, in order of rising 2θ:
- 28.5°, d 3.129, I = 100.0
- 33.0°, d 2.712, I = 26.0
- 33.1°, d 2.704, I = 11.7
- 47.5°, d 1.916, I = 54.1
- 56.3°, d 1.635, I = 31.2
- 56.4°, d 1.631, I = 13.3

Atomic structure:
```
data_Ce2U2O9
_cell_length_a 5.425
_cell_length_b 5.425
_cell_length_c 10.814
_cell_angle_alpha 90.00
_cell_angle_beta 90.00
_cell_angle_gamma 90.00
_space_group_name_H-M_alt 'I 4/m m m'
_space_group_IT_number 139
_space_group_name_Hall '-I 4 2'
loop_
_atom_site_label
_atom_site_fract_x
_atom_site_fract_y
_atom_site_fract_z
Ce1 0.000 0.000 0.232
U1 0.000 0.500 0.000
O1 0.000 0.000 0.000
O2 0.235 0.235 0.376
```

***

No. 4
Simulated powder XRD pattern of Pr2Nd4Hg for Cu Kα (λ = 1.5418 Å), from the GGA-PBE geometry in Alexandria.
Peak positions follow from Bragg's law for the DFT cell and can differ from measured ones.

Principal peaks in the range 2θ from 5° to 70°, in order of rising 2θ:
- 26.2°, d 3.406, I = 37.1
- 30.3°, d 2.949, I = 76.7
- 32.3°, d 2.775, I = 100.0
- 32.5°, d 2.759, I = 83.4
- 35.5°, d 2.529, I = 48.6
- 59.8°, d 1.547, I = 34.4

Atomic structure:
```
data_Pr2Nd4Hg
_cell_length_a 17.221
_cell_length_b 3.727
_cell_length_c 8.405
_cell_angle_alpha 90.00
_cell_angle_beta 116.22
_cell_angle_gamma 90.00
_space_group_name_H-M_alt 'C 1 2/m 1'
_space_group_IT_number 12
loop_
_space_group_symop_operation_xyz
'x,y,z'
'-x,-y,-z'
'-x,y,-z'
'x,-y,z'
'x+1/2,y+1/2,z'
'-x+1/2,-y+1/2,-z'
'-x+1/2,y+1/2,-z'
'x+1/2,-y+1/2,z'
loop_
_atom_site_label
_atom_site_fract_x
_atom_site_fract_y
_atom_site_fract_z
Pr1 0.211 0.000 0.126
Nd1 0.057 0.500 0.744
Nd2 0.147 0.000 0.475
Hg1 0.000 0.000 0.000
```

***

No. 5
Simulated powder XRD pattern of LiAg4Au2 for Cu Kα (λ = 1.5418 Å), from the GGA-PBE geometry in Alexandria.
Peak positions follow from Bragg's law for the DFT cell and can differ from measured ones.

Principal peaks in the range 2θ from 5° to 70°, in order of rising 2θ:
- 21.6°, d 4.119, I = 42.1
- 35.2°, d 2.547, I = 25.5
- 37.6°, d 2.393, I = 100.0
- 39.6°, d 2.276, I = 41.4
- 41.3°, d 2.185, I = 38.0
- 42.8°, d 2.114, I = 32.8

Atomic structure:
```
data_LiAg4Au2
_cell_length_a 6.971
_cell_length_b 5.612
_cell_length_c 7.239
_cell_angle_alpha 90.00
_cell_angle_beta 117.33
_cell_angle_gamma 90.00
_space_group_name_H-M_alt 'P 1 21/m 1'
_space_group_IT_number 11
loop_
_space_group_symop_operation_xyz
'x,y,z'
'-x,-y,-z'
'-x,y+1/2,-z'
'x,-y+1/2,z'
loop_
_atom_site_label
_atom_site_fract_x
_atom_site_fract_y
_atom_site_fract_z
Li1 0.062 0.250 0.328
Ag1 0.230 0.750 0.081
Ag2 0.348 0.501 0.765
Ag3 0.489 0.250 0.485
Au1 0.060 0.750 0.380
Au2 0.229 0.250 0.050
```

***

No. 6
Simulated powder XRD pattern of Tm2Ga8Au for Cu Kα (λ = 1.5418 Å), from the GGA-PBE geometry in Alexandria.
Peak positions follow from Bragg's law for the DFT cell and can differ from measured ones.

Principal peaks in the range 2θ from 5° to 70°, in order of rising 2θ:
- 20.4°, d 4.360, I = 32.7
- 31.6°, d 2.832, I = 21.4
- 37.9°, d 2.375, I = 100.0
- 41.4°, d 2.180, I = 45.4
- 60.0°, d 1.542, I = 15.0
- 66.0°, d 1.416, I = 12.9

Atomic structure:
```
data_Tm2Ga8Au
_cell_length_a 4.360
_cell_length_b 4.360
_cell_length_c 11.173
_cell_angle_alpha 90.00
_cell_angle_beta 90.00
_cell_angle_gamma 90.00
_space_group_name_H-M_alt 'P 4/m m m'
_space_group_IT_number 123
_space_group_name_Hall '-P 4 2'
loop_
_atom_site_label
_atom_site_fract_x
_atom_site_fract_y
_atom_site_fract_z
Tm1 0.000 0.000 0.186
Ga1 0.000 0.500 0.000
Ga2 0.000 0.500 0.364
Ga3 0.500 0.500 0.190
Au1 0.000 0.000 0.500
```

***

What did the second record say?
Simulated powder XRD pattern of AcLa4Er4 for Cu Kα (λ = 1.5418 Å), from the GGA-PBE geometry in Alexandria.
Peak positions follow from Bragg's law for the DFT cell and can differ from measured ones.

Principal peaks in the range 2θ from 5° to 70°, in order of rising 2θ:
- 29.8°, d 3.000, I = 100.0
- 29.9°, d 2.990, I = 99.2
- 34.6°, d 2.594, I = 67.4
- 34.6°, d 2.592, I = 33.6
- 49.8°, d 1.833, I = 36.1
- 59.0°, d 1.565, I = 43.3

Atomic structure:
```
data_AcLa4Er4
_cell_length_a 6.346
_cell_length_b 9.709
_cell_length_c 10.993
_cell_angle_alpha 100.61
_cell_angle_beta 106.67
_cell_angle_gamma 96.39
_space_group_name_H-M_alt 'P -1'
_space_group_IT_number 2
loop_
_space_group_symop_operation_xyz
'x,y,z'
'-x,-y,-z'
loop_
_atom_site_label
_atom_site_fract_x
_atom_site_fract_y
_atom_site_fract_z
Ac1 0.249 0.082 0.302
La1 0.248 0.744 0.081
La2 0.250 0.742 0.753
La3 0.251 0.416 0.530
La4 0.253 0.087 0.643
Er1 0.239 0.742 0.413
Er2 0.250 0.422 0.191
Er3 0.251 0.415 0.865
Er4 0.256 0.085 0.973
```